Entry 1:
For CuReO4, a crystal structure in the Materials Project, relaxed with GGA-PBE gives the theoretical X-ray powder pattern in this record (copper Kα).
Peak positions follow from Bragg's law for the DFT cell and can differ from measured ones.

Structural model:
```
data_CuReO4
_chemical_formula_sum 'Cu8 Re8 O32'
_symmetry_space_group_name_H-M 'P 1 21/c 1'
_symmetry_Int_Tables_number 14
_cell_length_a 6.621
_cell_length_b 9.047
_cell_length_c 13.079
_cell_angle_alpha 90.00
_cell_angle_beta 90.40
_cell_angle_gamma 90.00
loop_
_symmetry_equiv_pos_as_xyz
'x,y,z'
'-x,-y,-z'
'-x,y+1/2,-z+1/2'
'x,-y+1/2,z+1/2'
loop_
_atom_site_label
_atom_site_fract_x
_atom_site_fract_y
_atom_site_fract_z
Cu1 0.121 0.053 0.113
Cu2 0.307 0.636 0.109
Re1 0.100 0.586 0.864
Re2 0.397 0.050 0.853
O1 0.017 0.589 0.122
O2 0.078 0.227 0.614
O3 0.158 0.009 0.907
O4 0.187 0.602 0.737
O5 0.298 0.606 0.954
O6 0.377 0.016 0.721
O7 0.415 0.068 0.095
O8 0.460 0.237 0.875
```

Main lines, low angle first (2θ = 10–90°):
2theta  I/Imax  (hkl)
17.93  56.1  1 1 -1
19.63  65.7  0 2 0
21.42  33.9  1 1 -2
24.78  61.1  1 2 -1
27.28  78.4  0 0 4
29.52  100.0  2 1 -1


Entry 2:
For CeGe2Pt, a crystal structure in the Materials Project, relaxed with GGA-PBE gives the theoretical X-ray powder pattern in this record (copper Kα).
Peak positions follow from Bragg's law for the DFT cell and can differ from measured ones.

Structural model:
```
data_CeGe2Pt
_chemical_formula_sum 'Ce8 Ge16 Pt8'
_symmetry_space_group_name_H-M 'I m m m'
_symmetry_Int_Tables_number 71
_symmetry_space_group_name_Hall '-I 2 2'
_cell_length_a 4.434
_cell_length_b 8.792
_cell_length_c 16.654
_cell_angle_alpha 90.00
_cell_angle_beta 90.00
_cell_angle_gamma 90.00
loop_
_atom_site_label
_atom_site_fract_x
_atom_site_fract_y
_atom_site_fract_z
Ce1 0.000 0.000 0.204
Ce2 0.000 0.245 0.000
Ge1 0.000 0.000 0.427
Ge2 0.000 0.349 0.197
Ge3 0.000 0.500 0.426
Pt1 0.000 0.249 0.351
```

Main lines, low angle first (2θ = 10–90°):
2theta  I/Imax  (hkl)
32.92  100.0  1 2 3
33.65  39.4  1 0 5
38.36  41.7  0 2 6
40.70  36.8  2 0 0
41.06  24.0  0 4 0
69.66  22.3  1 6 3


Entry 3:
For MgRe3, a crystal structure in the Materials Project, relaxed with GGA-PBE gives the theoretical X-ray powder pattern in this record (copper Kα).
Peak positions follow from Bragg's law for the DFT cell and can differ from measured ones.

Structural model:
```
data_MgRe3
_chemical_formula_sum 'Mg4 Re12'
_symmetry_space_group_name_H-M 'F m -3 m'
_symmetry_Int_Tables_number 225
_symmetry_space_group_name_Hall '-F 4 2 3'
_cell_length_a 6.229
_cell_length_b 6.229
_cell_length_c 6.229
_cell_angle_alpha 90.00
_cell_angle_beta 90.00
_cell_angle_gamma 90.00
loop_
_atom_site_label
_atom_site_fract_x
_atom_site_fract_y
_atom_site_fract_z
Mg1 0.000 0.000 0.000
Re1 0.000 0.000 0.500
Re2 0.250 0.250 0.250
```

Main lines, low angle first (2θ = 10–90°):
2theta  I/Imax  (hkl)
24.76  18.4  1 1 1
28.66  9.6  2 0 0
40.98  100.0  2 2 0
59.35  17.0  4 0 0
74.65  34.8  4 2 2
88.87  11.6  4 4 0


Entry 4:
For CuH4O2F2, a crystal structure in the Materials Project, relaxed with GGA-PBE gives the theoretical X-ray powder pattern in this record (copper Kα).
Peak positions follow from Bragg's law for the DFT cell and can differ from measured ones.

Structural model:
```
data_CuH4O2F2
_chemical_formula_sum 'Cu2 H8 O4 F4'
_symmetry_space_group_name_H-M 'C 1 2/m 1'
_symmetry_Int_Tables_number 12
_cell_length_a 6.817
_cell_length_b 7.338
_cell_length_c 3.377
_cell_angle_alpha 90.00
_cell_angle_beta 110.86
_cell_angle_gamma 90.00
loop_
_symmetry_equiv_pos_as_xyz
'x,y,z'
'-x,-y,-z'
'-x,y,-z'
'x,-y,z'
'x+1/2,y+1/2,z'
'-x+1/2,-y+1/2,-z'
'-x+1/2,y+1/2,-z'
'x+1/2,-y+1/2,z'
loop_
_atom_site_label
_atom_site_fract_x
_atom_site_fract_y
_atom_site_fract_z
Cu1 0.000 0.000 0.000
H1 0.110 0.339 0.203
O1 0.000 0.260 0.000
F1 0.233 0.000 0.545
```

Main lines, low angle first (2θ = 10–90°):
2theta  I/Imax  (hkl)
18.45  100.0  1 1 0
24.26  29.3  0 2 0
28.28  17.2  0 0 1
32.04  58.1  2 0 -1
38.08  19.3  1 1 1
39.46  21.6  1 3 0


Entry 5:
For Na3BiF6, a crystal structure in the Materials Project, relaxed with GGA-PBE gives the theoretical X-ray powder pattern in this record (copper Kα).
Peak positions follow from Bragg's law for the DFT cell and can differ from measured ones.

Structural model:
```
data_Na3BiF6
_chemical_formula_sum 'Na3 Bi1 F6'
_symmetry_space_group_name_H-M 'P -1'
_symmetry_Int_Tables_number 2
_cell_length_a 6.242
_cell_length_b 6.548
_cell_length_c 8.603
_cell_angle_alpha 92.38
_cell_angle_beta 102.75
_cell_angle_gamma 93.26
loop_
_symmetry_equiv_pos_as_xyz
'x,y,z'
'-x,-y,-z'
loop_
_atom_site_label
_atom_site_fract_x
_atom_site_fract_y
_atom_site_fract_z
Na1 0.000 0.000 0.000
Na2 0.000 0.500 0.500
Na3 0.500 0.000 0.000
Bi1 0.000 0.500 0.000
F1 0.007 0.551 0.741
F2 0.249 0.780 0.070
F3 0.251 0.249 0.012
```

Main lines, low angle first (2θ = 10–90°):
2theta  I/Imax  (hkl)
10.56  100.0  0 0 1
13.57  27.0  0 1 0
14.58  38.6  1 0 0
19.27  20.2  1 -1 0
20.64  17.3  1 1 0
21.23  26.8  0 0 2


Entry 6:
For Ho2RuPt, a crystal structure in the Materials Project, relaxed with GGA-PBE gives the theoretical X-ray powder pattern in this record (copper Kα).
Peak positions follow from Bragg's law for the DFT cell and can differ from measured ones.

Structural model:
```
data_Ho2RuPt
_chemical_formula_sum 'Ho8 Ru4 Pt4'
_symmetry_space_group_name_H-M 'F m -3 m'
_symmetry_Int_Tables_number 225
_symmetry_space_group_name_Hall '-F 4 2 3'
_cell_length_a 6.864
_cell_length_b 6.864
_cell_length_c 6.864
_cell_angle_alpha 90.00
_cell_angle_beta 90.00
_cell_angle_gamma 90.00
loop_
_atom_site_label
_atom_site_fract_x
_atom_site_fract_y
_atom_site_fract_z
Ho1 0.250 0.250 0.250
Ru1 0.000 0.000 0.000
Pt1 0.000 0.000 0.500
```

Main lines, low angle first (2θ = 10–90°):
2theta  I/Imax  (hkl)
22.44  4.6  1 1 1
37.05  100.0  2 2 0
43.74  2.6  3 1 1
53.39  17.6  4 0 0
66.77  35.9  4 2 2
78.89  11.2  4 4 0


Entry 7:
For LaB3O6, a crystal structure in the Materials Project, relaxed with GGA-PBE gives the theoretical X-ray powder pattern in this record (copper Kα).
Peak positions follow from Bragg's law for the DFT cell and can differ from measured ones.

Structural model:
```
data_LaB3O6
_chemical_formula_sum 'La4 B12 O24'
_symmetry_space_group_name_H-M 'P 1 21/c 1'
_symmetry_Int_Tables_number 14
_cell_length_a 4.276
_cell_length_b 11.834
_cell_length_c 7.352
_cell_angle_alpha 90.00
_cell_angle_beta 91.21
_cell_angle_gamma 90.00
loop_
_symmetry_equiv_pos_as_xyz
'x,y,z'
'-x,-y,-z'
'-x,y+1/2,-z+1/2'
'x,-y+1/2,z+1/2'
loop_
_atom_site_label
_atom_site_fract_x
_atom_site_fract_y
_atom_site_fract_z
La1 0.216 0.123 0.380
B1 0.196 0.094 0.874
B2 0.311 0.622 0.428
B3 0.323 0.666 0.789
O1 0.152 0.628 0.611
O2 0.205 0.524 0.319
O3 0.220 0.716 0.308
O4 0.250 0.591 0.938
O5 0.334 0.167 0.736
O6 0.350 0.120 0.046
```

Main lines, low angle first (2θ = 10–90°):
2theta  I/Imax  (hkl)
19.26  78.2  0 2 1
25.41  88.4  0 1 2
28.28  79.3  1 2 -1
30.21  100.0  0 4 0
31.77  68.8  1 0 -2
33.35  76.9  0 3 2


Entry 8:
For Cs2MgSe2O14, a crystal structure in the Materials Project, relaxed with GGA-PBE gives the theoretical X-ray powder pattern in this record (copper Kα).
Peak positions follow from Bragg's law for the DFT cell and can differ from measured ones.

Structural model:
```
data_Cs2MgSe2O14
_chemical_formula_sum 'Cs4 Mg2 Se4 O28'
_symmetry_space_group_name_H-M 'P 1 21/c 1'
_symmetry_Int_Tables_number 14
_cell_length_a 6.583
_cell_length_b 12.716
_cell_length_c 9.582
_cell_angle_alpha 90.00
_cell_angle_beta 94.90
_cell_angle_gamma 90.00
loop_
_symmetry_equiv_pos_as_xyz
'x,y,z'
'-x,-y,-z'
'-x,y+1/2,-z+1/2'
'x,-y+1/2,z+1/2'
loop_
_atom_site_label
_atom_site_fract_x
_atom_site_fract_y
_atom_site_fract_z
Cs1 0.188 0.154 0.360
Mg1 0.500 0.000 0.000
Se1 0.270 0.657 0.880
O1 0.105 0.739 0.396
O2 0.181 0.587 0.740
O3 0.233 0.603 0.490
O4 0.280 0.583 0.023
O5 0.333 0.117 0.903
O6 0.486 0.135 0.113
O7 0.494 0.204 0.647
```

Main lines, low angle first (2θ = 10–90°):
2theta  I/Imax  (hkl)
18.43  71.5  1 1 1
22.07  100.0  1 0 -2
22.96  49.9  0 3 1
23.98  45.9  1 0 2
27.16  73.1  2 0 0
35.25  45.9  0 3 3


Entry 9:
For Mg2B2O5, a crystal structure in the Materials Project, relaxed with GGA-PBE gives the theoretical X-ray powder pattern in this record (copper Kα).
Peak positions follow from Bragg's law for the DFT cell and can differ from measured ones.

Structural model:
```
data_Mg2B2O5
_chemical_formula_sum 'Mg8 B8 O20'
_symmetry_space_group_name_H-M 'P 1 21/c 1'
_symmetry_Int_Tables_number 14
_cell_length_a 9.293
_cell_length_b 3.162
_cell_length_c 12.435
_cell_angle_alpha 90.00
_cell_angle_beta 104.50
_cell_angle_gamma 90.00
loop_
_symmetry_equiv_pos_as_xyz
'x,y,z'
'-x,-y,-z'
'-x,y+1/2,-z+1/2'
'x,-y+1/2,z+1/2'
loop_
_atom_site_label
_atom_site_fract_x
_atom_site_fract_y
_atom_site_fract_z
Mg1 0.102 0.214 0.186
Mg2 0.356 0.709 0.105
B1 0.169 0.150 0.440
B2 0.356 0.724 0.841
O1 0.054 0.212 0.348
O2 0.181 0.228 0.046
O3 0.259 0.728 0.238
O4 0.299 0.577 0.930
O5 0.496 0.201 0.137
```

Main lines, low angle first (2θ = 10–90°):
2theta  I/Imax  (hkl)
19.71  23.1  1 0 2
31.35  28.7  2 0 -4
34.67  100.0  2 1 0
44.61  31.3  2 0 -6
46.90  34.1  3 1 2
61.13  14.9  4 1 -6


Entry 10:
For Ba8Sc3Pt4O18, a crystal structure in the Materials Project, relaxed with GGA-PBE gives the theoretical X-ray powder pattern in this record (copper Kα).
Peak positions follow from Bragg's law for the DFT cell and can differ from measured ones.

Structural model:
```
data_Ba8Sc3Pt4O18
_chemical_formula_sum 'Ba8 Sc3 Pt4 O18'
_symmetry_space_group_name_H-M 'P m -3 m'
_symmetry_Int_Tables_number 221
_symmetry_space_group_name_Hall '-P 4 2 3'
_cell_length_a 8.277
_cell_length_b 8.277
_cell_length_c 8.277
_cell_angle_alpha 90.00
_cell_angle_beta 90.00
_cell_angle_gamma 90.00
loop_
_atom_site_label
_atom_site_fract_x
_atom_site_fract_y
_atom_site_fract_z
Ba1 0.239 0.239 0.239
Sc1 0.000 0.000 0.500
Pt1 0.000 0.000 0.000
Pt2 0.000 0.500 0.500
O1 0.000 0.000 0.245
O2 0.000 0.255 0.500
```

Main lines, low angle first (2θ = 10–90°):
2theta  I/Imax  (hkl)
18.57  26.5  1 1 1
30.55  100.0  2 2 0
43.75  26.6  4 0 0
54.29  38.2  4 2 2
63.59  16.1  4 4 0
88.37  18.8  6 4 2